(1)
Theoretical X-ray powder pattern of Dy2GeO5 for Cu Kα X-rays, from a crystal structure in OQMD, relaxed with GGA-PBE.
Intensities are scaled so that the largest is 100.

Structural model:
Lattice parameters (Å, degrees): 8.1778 8.1778 10.3722 118.72 118.72 49.05
Positions (direct):
Dy  0.0019  0.2713  0.8350
Dy  0.2090  0.7223  0.5388
Dy  0.2713  0.0019  0.3350
Dy  0.2777  0.7910  0.9612
Dy  0.7223  0.2090  0.0388
Dy  0.7287  0.9981  0.6650
Dy  0.7910  0.2777  0.4612
Dy  0.9981  0.7287  0.1650
Ge  0.2200  0.4096  0.6889
Ge  0.4096  0.2200  0.1889
Ge  0.5904  0.7800  0.8111
Ge  0.7800  0.5904  0.3111
O  0.0426  0.3486  0.6728
O  0.0811  0.8827  0.1004
O  0.0833  0.6875  0.6817
O  0.1173  0.9189  0.3996
O  0.2279  0.3662  0.0458
O  0.3125  0.9167  0.8183
O  0.3486  0.0426  0.1728
O  0.3662  0.2279  0.5458
O  0.4133  0.4213  0.3621
O  0.4213  0.4133  0.8621
O  0.5787  0.5867  0.1379
O  0.5867  0.5787  0.6379
O  0.6338  0.7721  0.4542
O  0.6514  0.9574  0.8272
O  0.6875  0.0833  0.1817
O  0.7721  0.6338  0.9542
O  0.8827  0.0811  0.6004
O  0.9167  0.3125  0.3183
O  0.9189  0.1173  0.8996
O  0.9574  0.6514  0.3272

The 8 most intense peaks (2θ = 10–90°), low angle first:
Position (°2θ)	Rel. int.
22.22	57
24.52	59
28.18	75
29.44	91
29.88	33
30.26	100
33.99	81
37.15	32


(2)
Theoretical X-ray powder pattern of Dy2Ge4PtO12 for Cu Kα X-rays, from a crystal structure in OQMD, relaxed with GGA-PBE.
Intensities are scaled so that the largest is 100.

Structural model:
Lattice parameters (Å, degrees): 4.8871 7.2164 7.8920 68.16 88.14 77.00
Positions (direct):
Dy  0.0465  0.2685  0.4504
Dy  0.9535  0.7315  0.5496
Ge  0.4152  0.8997  0.7955
Ge  0.4451  0.6705  0.2197
Ge  0.5549  0.3295  0.7803
Ge  0.5848  0.1003  0.2045
Pt  0.0000  0.5000  0.0000
O  0.2133  0.9269  0.6070
O  0.2139  0.5688  0.3817
O  0.2456  0.2498  0.1947
O  0.2709  0.8527  0.0100
O  0.2781  0.5231  0.7982
O  0.4076  0.1725  0.6949
O  0.5924  0.8275  0.3051
O  0.7219  0.4769  0.2018
O  0.7291  0.1473  0.9900
O  0.7544  0.7502  0.8053
O  0.7861  0.4312  0.6183
O  0.7867  0.0731  0.3930

The 8 most intense peaks (2θ = 10–90°), low angle first:
Position (°2θ)	Rel. int.
25.56	68
28.11	100
29.97	50
31.70	60
34.06	58
35.01	37
36.85	26
58.17	24


(3)
Theoretical X-ray powder pattern of Dy2ZnGe4O12 for Cu Kα X-rays, from a crystal structure in OQMD, relaxed with GGA-PBE.
Intensities are scaled so that the largest is 100.

Structural model:
Lattice parameters (Å, degrees): 4.9039 7.1093 7.8845 67.23 87.99 79.27
Positions (direct):
Dy  0.0521  0.2660  0.4582
Dy  0.9479  0.7340  0.5418
Zn  0.0000  0.5000  0.0000
Ge  0.4168  0.8744  0.7935
Ge  0.4615  0.6618  0.2209
Ge  0.5385  0.3382  0.7791
Ge  0.5832  0.1256  0.2065
O  0.2274  0.5667  0.3900
O  0.2280  0.9226  0.5941
O  0.2502  0.2645  0.1965
O  0.2531  0.5172  0.7917
O  0.2545  0.7812  0.0091
O  0.3954  0.1514  0.7294
O  0.6046  0.8486  0.2706
O  0.7455  0.2188  0.9909
O  0.7469  0.4828  0.2083
O  0.7498  0.7355  0.8035
O  0.7720  0.0774  0.4059
O  0.7726  0.4333  0.6100

The 8 most intense peaks (2θ = 10–90°), low angle first:
Position (°2θ)	Rel. int.
12.18	43
21.73	40
25.09	49
28.73	100
30.21	52
31.46	72
34.42	31
34.57	36


(4)
Theoretical X-ray powder pattern of DyTmSiGeOs for Cu Kα X-rays, from a crystal structure in OQMD, relaxed with GGA-PBE.
Intensities are scaled so that the largest is 100.

Structural model:
Lattice parameters (Å, degrees): 5.7314 5.7314 10.0686 116.39 116.39 43.14
Positions (direct):
Dy  0.0082  0.0082  0.1754
Dy  0.9918  0.9918  0.8246
Tm  0.1842  0.1842  0.6165
Tm  0.8158  0.8158  0.3835
Si  0.3559  0.3559  0.9398
Si  0.6441  0.6441  0.0602
Ge  0.4864  0.4864  0.6239
Ge  0.5136  0.5136  0.3761
Os  0.2674  0.2674  0.1254
Os  0.7326  0.7326  0.8746

The 8 most intense peaks (2θ = 10–90°), low angle first:
Position (°2θ)	Rel. int.
27.60	48
33.64	57
33.77	100
34.64	28
37.08	79
40.81	35
41.00	47
42.92	53


(5)
Theoretical X-ray powder pattern of DyTmGe2Os for Cu Kα X-rays, from a crystal structure in OQMD, relaxed with GGA-PBE.
Intensities are scaled so that the largest is 100.

Structural model:
Lattice parameters (Å, degrees): 5.7628 5.7628 10.0772 115.75 115.75 43.69
Positions (direct):
Dy  0.1846  0.1846  0.1150
Dy  0.8154  0.8154  0.8850
Tm  0.0033  0.0033  0.6738
Tm  0.9967  0.9967  0.3262
Ge  0.3590  0.3590  0.4389
Ge  0.4867  0.4867  0.1253
Ge  0.5133  0.5133  0.8747
Ge  0.6410  0.6410  0.5611
Os  0.2697  0.2697  0.6316
Os  0.7303  0.7303  0.3684

The 8 most intense peaks (2θ = 10–90°), low angle first:
Position (°2θ)	Rel. int.
32.82	23
33.33	100
34.22	22
36.89	56
40.47	72
42.14	44
59.92	26
64.76	21


(6)
Theoretical X-ray powder pattern of TbDyGe2Pb2 for Cu Kα X-rays, from a crystal structure in OQMD, relaxed with GGA-PBE.
Intensities are scaled so that the largest is 100.

Structural model:
Lattice parameters (Å, degrees): 4.0887 4.4415 16.7134 90.00 90.00 90.00
Positions (direct):
Tb  0.0000  0.0000  0.0000
Tb  0.0000  0.5000  0.5000
Dy  0.5000  0.0000  0.1802
Dy  0.5000  0.5000  0.6802
Ge  0.0000  0.0000  0.6434
Ge  0.0000  0.5000  0.1434
Ge  0.5000  0.0000  0.5382
Ge  0.5000  0.5000  0.0382
Pb  0.0000  0.0000  0.3545
Pb  0.0000  0.5000  0.8545
Pb  0.5000  0.0000  0.8250
Pb  0.5000  0.5000  0.3250

The 8 most intense peaks (2θ = 10–90°), low angle first:
Position (°2θ)	Rel. int.
24.23	12
32.13	21
33.55	16
33.87	100
40.63	17
44.31	13
48.96	11
69.62	13


(7)
Theoretical X-ray powder pattern of Tb2DyGe3PdPt2 for Cu Kα X-rays, from a crystal structure in OQMD, relaxed with GGA-PBE.
Intensities are scaled so that the largest is 100.

Structural model:
Lattice parameters (Å, degrees): 3.9197 7.2495 7.2495 119.92 90.00 90.00
Positions (direct):
Tb  0.0000  0.2030  0.7970
Tb  0.0000  0.7970  0.2030
Dy  0.0000  0.6086  0.6086
Ge  0.5000  0.2034  0.4584
Ge  0.5000  0.4584  0.2034
Ge  0.5000  0.9473  0.9473
Pd  0.0000  0.2037  0.2037
Pt  0.5000  0.5366  0.8688
Pt  0.5000  0.8688  0.5366

The 8 most intense peaks (2θ = 10–90°), low angle first:
Position (°2θ)	Rel. int.
33.67	100
36.67	87
37.90	31
43.21	42
44.62	27
46.33	25
65.21	25
69.50	27


(8)
Theoretical X-ray powder pattern of DyTm2Ge3PdPt2 for Cu Kα X-rays, from a crystal structure in OQMD, relaxed with GGA-PBE.
Intensities are scaled so that the largest is 100.

Structural model:
Lattice parameters (Å, degrees): 3.8842 7.2091 7.2091 120.23 90.00 90.00
Positions (direct):
Dy  0.0000  0.0000  0.0000
Tm  0.0000  0.1882  0.5938
Tm  0.0000  0.5938  0.1882
Ge  0.5000  0.3377  0.3377
Ge  0.5000  0.5926  0.8497
Ge  0.5000  0.8497  0.5926
Pd  0.0000  0.5912  0.5912
Pt  0.5000  0.2628  0.9260
Pt  0.5000  0.9260  0.2628

The 8 most intense peaks (2θ = 10–90°), low angle first:
Position (°2θ)	Rel. int.
24.73	20
33.95	100
36.97	86
38.14	21
43.59	27
44.95	18
46.78	25
70.01	18


(9)
Theoretical X-ray powder pattern of DyY2Ge3PdPt2 for Cu Kα X-rays, from a crystal structure in OQMD, relaxed with GGA-PBE.
Intensities are scaled so that the largest is 100.

Structural model:
Lattice parameters (Å, degrees): 3.9151 7.2457 7.2457 119.96 90.00 90.00
Positions (direct):
Dy  0.0000  0.0000  0.0000
Y  0.0000  0.1885  0.5941
Y  0.0000  0.5941  0.1885
Ge  0.5000  0.3384  0.3384
Ge  0.5000  0.5941  0.8498
Ge  0.5000  0.8498  0.5941
Pd  0.0000  0.5951  0.5951
Pt  0.5000  0.2594  0.9276
Pt  0.5000  0.9276  0.2594

The 8 most intense peaks (2θ = 10–90°), low angle first:
Position (°2θ)	Rel. int.
24.57	32
33.70	100
36.70	99
37.93	34
43.25	52
44.66	41
65.28	31
69.57	31


(10)
Theoretical X-ray powder pattern of Tb2DyGe4Pd4 for Cu Kα X-rays, from a crystal structure in OQMD, relaxed with GGA-PBE.
Intensities are scaled so that the largest is 100.

Structural model:
Lattice parameters (Å, degrees): 8.1474 8.1474 8.1474 150.17 128.18 60.95
Positions (direct):
Tb  0.1260  0.1260  0.0000
Tb  0.8740  0.8740  0.0000
Dy  0.5000  0.0000  0.5000
Ge  0.1882  0.5000  0.6882
Ge  0.2821  0.7821  0.5000
Ge  0.7179  0.2179  0.5000
Ge  0.8118  0.5000  0.3118
Pd  0.1241  0.3250  0.7992
Pd  0.4742  0.6750  0.7992
Pd  0.5258  0.3250  0.2008
Pd  0.8759  0.6750  0.2008

The 8 most intense peaks (2θ = 10–90°), low angle first:
Position (°2θ)	Rel. int.
33.63	100
34.32	30
35.65	85
38.33	23
42.71	34
43.13	40
62.32	22
75.52	24


(11)
Theoretical X-ray powder pattern of PrDyZn2Ge2 for Cu Kα X-rays, from a crystal structure in OQMD, relaxed with GGA-PBE.
Intensities are scaled so that the largest is 100.

Structural model:
Lattice parameters (Å, degrees): 4.2772 4.2772 16.2166 90.00 90.00 120.00
Positions (direct):
Pr  0.0000  0.0000  0.2500
Pr  0.0000  0.0000  0.7500
Dy  0.0000  0.0000  0.0000
Dy  0.0000  0.0000  0.5000
Zn  0.3333  0.6667  0.1374
Zn  0.3333  0.6667  0.3626
Zn  0.6667  0.3333  0.6374
Zn  0.6667  0.3333  0.8626
Ge  0.3333  0.6667  0.6108
Ge  0.3333  0.6667  0.8892
Ge  0.6667  0.3333  0.1108
Ge  0.6667  0.3333  0.3892

The 8 most intense peaks (2θ = 10–90°), low angle first:
Position (°2θ)	Rel. int.
24.02	13
32.75	100
42.26	45
44.71	10
54.47	23
63.20	21
71.26	21
77.27	7


(12)
Theoretical X-ray powder pattern of Dy3GePt4 for Cu Kα X-rays, from a crystal structure in OQMD, relaxed with GGA-PBE.
Intensities are scaled so that the largest is 100.

Structural model:
Lattice parameters (Å, degrees): 5.6435 4.2437 6.9672 90.00 91.24 90.00
Positions (direct):
Dy  0.0000  0.0000  0.0000
Dy  0.2387  0.0000  0.4993
Dy  0.7289  0.5000  0.3619
Ge  0.4991  0.5000  0.8378
Pt  0.0534  0.5000  0.7273
Pt  0.2126  0.5000  0.2186
Pt  0.5150  0.0000  0.0884
Pt  0.7088  0.0000  0.6585

The 8 most intense peaks (2θ = 10–90°), low angle first:
Position (°2θ)	Rel. int.
33.28	100
34.03	24
34.56	37
36.75	68
37.24	51
40.29	59
40.75	69
42.61	59